[1]
This entry pairs a crystal structure of CaAgGe2O6 with its calculated powder X-ray diffraction pattern. Radiation: CuKα. Structure: DFT lattice parameters and positions (PBE).
Lines closer than 0.1° are merged.

Crystal structure
Unit cell a=7.2838 b=7.2838 c=5.7874 alpha=104.23 beta=104.23 gamma=84.69
Element x y z (fractional)
Ca 0.1036 0.8964 0.7500
Ca 0.8964 0.1036 0.2500
Ag 0.2723 0.7277 0.2500
Ag 0.7277 0.2723 0.7500
Ge 0.2128 0.3794 0.7843
Ge 0.3794 0.2128 0.2843
Ge 0.6206 0.7872 0.7157
Ge 0.7872 0.6206 0.2157
O 0.0408 0.2070 0.6623
O 0.1324 0.6151 0.8780
O 0.2070 0.0408 0.1623
O 0.3412 0.3813 0.5550
O 0.3813 0.3412 0.0550
O 0.3849 0.8676 0.6220
O 0.6151 0.1324 0.3780
O 0.6187 0.6588 0.9450
O 0.6588 0.6187 0.4450
O 0.7930 0.9592 0.8377
O 0.8676 0.3849 0.1220
O 0.9592 0.7930 0.3377

Principal peaks in the range 10° ≤ 2θ ≤ 90°, low angle first:
2θ (°)  intensity
25.24  74.6
26.73  100.0
27.53  48.6
31.60  39.2
32.82  54.3
50.83  51.0

[2]
This entry pairs a crystal structure of Ca4AgH with its calculated powder X-ray diffraction pattern. Radiation: CuKα. Structure: DFT lattice parameters and positions (PBE).
Lines closer than 0.1° are merged.

Crystal structure
Unit cell a=8.2772 b=6.9288 c=6.5963 alpha=90.00 beta=90.00 gamma=90.00
Element x y z (fractional)
Ca 0.0000 0.1562 0.0000
Ca 0.0000 0.8419 0.5430
Ca 0.2276 0.3065 0.5228
Ca 0.2724 0.6935 0.0228
Ca 0.5000 0.1581 0.0430
Ca 0.5000 0.8438 0.5000
Ca 0.7276 0.6935 0.0228
Ca 0.7724 0.3065 0.5228
Ag 0.0000 0.5194 0.2439
Ag 0.5000 0.4806 0.7439
H 0.0000 0.1566 0.6514
H 0.5000 0.8434 0.1514

Principal peaks in the range 10° ≤ 2θ ≤ 90°, low angle first:
2θ (°)  intensity
12.78  39.2
17.19  45.6
21.47  100.0
28.53  59.8
37.20  45.4
37.65  46.5

Question: Number 2 is which compound?
Answer: Ca4AgH